Structure and computed powder diffractogram of Mn5Cr4O12 (a structure optimized by DFT (GGA+U); Cu Kα (weighted mean of Kα1 and Kα2)).
Lines closer than 0.1° are merged.

Main lines, by intensity (2θ = 10–80°):
- 34.18°, d 2.623, I = 100, hkl -2 1 2
- 34.29°, d 2.615, I = 96, hkl 1 -1 3
- 34.76°, d 2.581, I = 68, hkl 1 3 -2
- 29.32°, d 3.047, I = 45, hkl 1 2 0
- 60.92°, d 1.521, I = 43, hkl 2 4 0
- 60.76°, d 1.524, I = 43, hkl -2 4 2
- 41.50°, d 2.176, I = 42, hkl 2 0 -4
- 54.79°, d 1.675, I = 33, hkl -3 1 4
- 54.92°, d 1.672, I = 32, hkl 2 -1 4
- 17.76°, d 4.994, I = 27, hkl 1 -1 0

Cell and atoms:
a = 6.1722 Å, b = 8.5251 Å, c = 10.5937 Å
α = 113.59°, β = 106.88°, γ = 90.19°
Space group P-1 (No. 2)
Asymmetric unit:
Mn 0.0000 0.0000 0.0000
Mn 0.0000 0.5000 0.5000
Mn 0.0843 0.4585 0.1665
Mn 0.2498 0.8745 0.5010
Mn 0.3375 0.8352 0.1697
Mn 0.4143 0.7916 0.8326
Cr 0.1655 0.1666 0.8328
Cr 0.1699 0.1662 0.3340
Cr 0.3324 0.3342 0.6665
Cr 0.5000 0.5000 0.0000
Cr 0.5000 0.5000 0.5000
O 0.0068 0.7741 0.0184
O 0.0279 0.2693 0.4996
O 0.1319 0.9275 0.8352
O 0.1437 0.9236 0.3206
O 0.1882 0.4103 0.3471
O 0.1965 0.4057 0.8335
O 0.3245 0.0673 0.1787
O 0.3311 0.5618 0.6488
O 0.3346 0.1058 0.6847
O 0.3620 0.6015 0.1664
O 0.4697 0.2619 0.5018
O 0.4766 0.2570 0.9868